Calculated powder diffractogram
Compound: Cu3HgBr8
Radiation: Cu Kα
Structure: a structure optimized by DFT (GGA-PBE)
Lines closer than 0.1° are merged.

Cell and atoms:
```
12
Lattice="7.504 -2.082 0.000 7.504 2.082 0.000 -0.425 0.000 11.666" Properties=species:S:1:pos:R:3 pbc="T T T"
Cu 0.000 0.000 0.000
Cu 0.235 0.000 4.757
Cu 3.815 0.000 0.003
Hg 3.556 0.000 6.608
Br 0.757 0.000 7.162
Br 1.453 0.000 10.191
Br 2.595 0.000 4.143
Br 5.817 0.000 11.083
Br 6.397 0.000 5.027
Br 11.006 0.000 1.109
Br 11.964 0.000 8.019
Br 14.563 0.000 2.332
```

Largest 10 diffraction maxima, by angle, 2θ = 10–90°:
2theta	I/Imax
15.19	65
22.15	100
24.67	36
27.10	42
27.82	59
32.22	49
33.37	45
37.52	36
43.46	50
47.72	40